Entry 1:
This entry pairs a crystal structure of PuPa3Pd2 with its simulated powder X-ray diffraction pattern. Radiation: Cu Kα, 1.54184 Å. Structure: a PBE-relaxed structure.
Intensities are scaled so that the largest is 100.

Atomic structure:
```
PuPa3Pd2
1.0
5.9461 0.0000 0.0000
-0.0644 6.7910 0.0000
-2.1555 -1.8890 6.5933
Pu Pa Pd
2 6 4
Direct
0.1291 0.3229 0.0599
0.8709 0.6771 0.9401
0.1446 0.6256 0.3716
0.2801 0.1311 0.3229
0.2990 0.7828 0.9698
0.7010 0.2172 0.0302
0.7199 0.8689 0.6771
0.8554 0.3744 0.6284
0.2186 0.0250 0.6710
0.3899 0.4296 0.7106
0.6101 0.5704 0.2894
0.7814 0.9750 0.3290
```

The 8 most intense peaks (2θ = 15–90°), in order of rising 2θ:
| Position (°2θ) | d_spacing | I/Imax |
| --- | --- | --- |
| 31.69 | 2.824 | 39 |
| 32.74 | 2.735 | 33 |
| 32.87 | 2.725 | 100 |
| 33.00 | 2.714 | 97 |
| 33.83 | 2.649 | 72 |
| 38.45 | 2.342 | 45 |
| 39.18 | 2.300 | 60 |
| 41.07 | 2.198 | 49 |



Entry 2:
This entry pairs a crystal structure of Pu2Pa2Si4Pd with its simulated powder X-ray diffraction pattern. Radiation: Cu Kα, 1.54184 Å. Structure: a PBE-relaxed structure.
Intensities are scaled so that the largest is 100.

Atomic structure:
```
Pu2Pa2Si4Pd
1.0
-3.3857 3.3857 4.1623
3.3857 -3.3857 4.1623
3.3857 3.3857 -4.1623
Pu Pa Si Pd
2 2 4 1
Direct
0.1731 0.1731 0.0000
0.8269 0.8269 0.0000
0.2500 0.7500 0.5000
0.7500 0.2500 0.5000
0.2542 0.2542 0.5084
0.2542 0.7458 0.0000
0.7458 0.2542 0.0000
0.7458 0.7458 0.4916
0.5000 0.5000 0.0000
```

The 8 most intense peaks (2θ = 15–90°), in order of rising 2θ:
| Position (°2θ) | d_spacing | I/Imax |
| --- | --- | --- |
| 21.35 | 4.162 | 23 |
| 26.32 | 3.386 | 100 |
| 34.14 | 2.626 | 66 |
| 34.94 | 2.568 | 39 |
| 37.57 | 2.394 | 63 |
| 44.27 | 2.046 | 40 |
| 54.18 | 1.693 | 22 |
| 82.92 | 1.164 | 22 |



Entry 3:
This entry pairs a crystal structure of PuPaTe4Pd2 with its simulated powder X-ray diffraction pattern. Radiation: Cu Kα, 1.54184 Å. Structure: a PBE-relaxed structure.
Intensities are scaled so that the largest is 100.

Atomic structure:
```
PuPaTe4Pd2
1.0
-3.6711 3.7491 3.8688
3.6711 -3.7491 3.8688
3.6711 3.7491 -3.8688
Pu Pa Te Pd
1 1 4 2
Direct
0.0000 0.0000 0.0000
0.5000 0.5000 0.0000
0.0000 0.0000 0.5000
0.0000 0.5000 0.0000
0.5000 0.0000 0.0000
0.5000 0.5000 0.5000
0.3222 0.8222 0.5000
0.6778 0.1778 0.5000
```

The 8 most intense peaks (2θ = 15–90°), in order of rising 2θ:
| Position (°2θ) | d_spacing | I/Imax |
| --- | --- | --- |
| 16.90 | 5.246 | 22 |
| 28.67 | 3.114 | 81 |
| 33.28 | 2.692 | 53 |
| 33.65 | 2.663 | 51 |
| 34.18 | 2.623 | 100 |
| 44.91 | 2.019 | 24 |
| 45.49 | 1.994 | 24 |
| 59.36 | 1.557 | 25 |



Entry 4:
This entry pairs a crystal structure of Rb3Pa3PdS8 with its simulated powder X-ray diffraction pattern. Radiation: Cu Kα, 1.54184 Å. Structure: a PBE-relaxed structure.
Intensities are scaled so that the largest is 100.

Atomic structure:
```
Rb3Pa3PdS8
1.0
6.7250 -4.1599 0.0000
6.7250 4.1599 0.0000
-4.2182 0.0000 7.7434
Rb Pa Pd S
3 3 1 8
Direct
0.0000 0.0000 0.0000
0.0000 0.5000 0.0000
0.5000 0.0000 0.0000
0.0000 0.5000 0.5000
0.5000 0.0000 0.5000
0.5000 0.5000 0.5000
0.0000 0.0000 0.5000
0.2123 0.2123 0.6665
0.2528 0.6926 0.7007
0.2664 0.2664 0.3044
0.3074 0.7472 0.2993
0.6926 0.2528 0.7007
0.7336 0.7336 0.6956
0.7472 0.3074 0.2993
0.7877 0.7877 0.3335
```

The 8 most intense peaks (2θ = 15–90°), in order of rising 2θ:
| Position (°2θ) | d_spacing | I/Imax |
| --- | --- | --- |
| 22.97 | 3.872 | 41 |
| 25.54 | 3.488 | 23 |
| 26.20 | 3.401 | 53 |
| 29.81 | 2.997 | 100 |
| 30.27 | 2.953 | 46 |
| 39.81 | 2.264 | 37 |
| 46.01 | 1.972 | 30 |
| 47.20 | 1.926 | 23 |